TlV2SiO8: computed powder diffractogram (λ = 1.5418 Å (Cu Kα)), based on a DFT-relaxed cell (PBE+U, Alexandria).

Crystal structure
```
data_TlV2SiO8
_chemical_formula_sum 'Tl1 V2 Si1 O8'
_cell_length_a 5.4446
_cell_length_b 5.4446
_cell_length_c 6.5031
_cell_angle_alpha 90.00
_cell_angle_beta 90.00
_cell_angle_gamma 120.00
_space_group_name_H-M_alt 'P -3 m 1'
_space_group_IT_number 164
_space_group_name_Hall '-P 3 2"'
loop_
_atom_site_label
_atom_site_type_symbol
_atom_site_fract_x
_atom_site_fract_y
_atom_site_fract_z
_atom_site_occupancy
Tl1 Tl 0.0000 0.0000 0.0000 1
V1 V 0.3333 0.6667 0.2581 1
Si1 Si 0.0000 0.0000 0.5000 1
O1 O 0.1527 0.3054 0.3373 1
O2 O 0.3333 0.6667 0.0044 1
```

Main lines, sorted by position (2θ = 10–90°):
(0 0 1), 2θ = 13.6°, I 34.6
(1 0 0), 2θ = 18.8°, I 92.8
(0 1 1), 2θ = 23.3°, I 100.0
(1 1 0), 2θ = 32.9°, I 73.1
(1 0 2), 2θ = 33.5°, I 79.6
(1 1 1), 2θ = 35.8°, I 49.2
(2 0 1), 2θ = 40.7°, I 25.0
(1 0 3), 2θ = 46.1°, I 19.2
(2 0 2), 2θ = 47.6°, I 39.2
(1 2 1), 2θ = 53.3°, I 26.6
(2 1 2), 2θ = 59.1°, I 35.3
(1 1 4), 2θ = 67.1°, I 21.8